For KMgNi2H3Se2O10, the GGA+U geometry in Alexandria gives the calculated powder X-ray diffraction pattern in this record (a wavelength of 1.5418 Å).
No peak broadening, texture or thermal motion is included.

Largest 6 diffraction maxima, low angle first, 5° ≤ 2θ ≤ 70°:
2θ/deg	I_rel
12.47	85
17.45	77
22.42	97
29.52	88
29.94	68
32.31	100

Crystal structure
a b c (Å): 6.060 6.060 8.396
angles (deg): 116.55 116.55 66.26
Fractional coordinates of all 19 atoms:
1 K 0.000 0.000 0.000
2 Mg 0.056 0.056 0.679
3 Ni 0.006 0.520 0.458
4 Ni 0.520 0.006 0.458
5 H 0.301 0.301 0.685
6 H 0.740 0.740 0.133
7 H 0.906 0.906 0.306
8 Se 0.405 0.405 0.187
9 Se 0.614 0.614 0.702
10 O 0.200 0.200 0.565
11 O 0.276 0.276 0.955
12 O 0.286 0.699 0.669
13 O 0.301 0.301 0.293
14 O 0.313 0.726 0.251
15 O 0.699 0.286 0.669
16 O 0.726 0.313 0.251
17 O 0.728 0.728 0.940
18 O 0.799 0.799 0.277
19 O 0.825 0.825 0.610